The following is a theoretical XRD peak list of Mn4Ag3F12. It was derived from a structure optimized by DFT (GGA+U), using Cu Kα.

Top 10 peaks for 15° ≤ 2θ ≤ 90°, by angle:
- 5.798 Å, 2θ 15.28, I = 339
- 3.348 Å, 2θ 26.63, I = 159
- 2.899 Å, 2θ 30.84, I = 1000
- 2.367 Å, 2θ 38.01, I = 146
- 2.191 Å, 2θ 41.19, I = 110
- 2.050 Å, 2θ 44.18, I = 408
- 1.674 Å, 2θ 54.85, I = 454
- 1.450 Å, 2θ 64.26, I = 207
- 1.297 Å, 2θ 72.97, I = 159
- 1.096 Å, 2θ 89.43, I = 213

Cell and atoms:
a b c (Å): 7.101 7.101 7.101
angles (deg): 109.47 109.47 109.47
Element x y z (fractional)
Mn: 0.000 0.000 0.500
Mn: 0.000 0.500 0.000
Mn: 0.500 0.000 0.000
Mn: 0.500 0.500 0.500
Ag: 0.000 0.500 0.500
Ag: 0.500 0.000 0.500
Ag: 0.500 0.500 0.000
F: 0.073 0.783 0.290
F: 0.217 0.290 0.507
F: 0.217 0.710 0.927
F: 0.290 0.073 0.783
F: 0.290 0.507 0.217
F: 0.493 0.783 0.710
F: 0.507 0.217 0.290
F: 0.710 0.493 0.783
F: 0.710 0.927 0.217
F: 0.783 0.290 0.073
F: 0.783 0.710 0.493
F: 0.927 0.217 0.710